No. 1
The following is a theoretical powder X-ray diffraction pattern of TaH4. It was derived from the GGA-PBE geometry in OQMD, using λ = 1.5418 Å (Cu Kα).
Kinematic intensities with the Lorentz-polarization factor, no thermal factor.

Structural model:
Cell lengths 3.188, 8.840, 6.589 Å; angles 90.00, 90.00, 90.00 degrees
Space group Amm2 (No. 38)
One atom of each set of equivalent atoms:
Ta 0.000 0.000 0.000 [2 per cell]
Ta 0.500 0.185 0.656 [4 per cell]
H 0.000 0.000 0.264 [2 per cell]
H 0.000 0.117 0.531 [4 per cell]
H 0.000 0.172 0.827 [4 per cell]
H 0.000 0.181 0.154 [4 per cell]
H 0.500 0.000 0.155 [2 per cell]
H 0.500 0.000 0.510 [2 per cell]
H 0.500 0.000 0.822 [2 per cell]
H 0.500 0.172 0.376 [4 per cell]

Principal peaks in the range 15° ≤ 2θ ≤ 90°, in order of falling intensity:
d/Å, Rel. int., (hkl)
2.690, 100.0, 0 3 1
2.729, 78.8, 1 1 1
2.585, 73.8, 1 2 0
2.291, 61.7, 1 0 2
1.542, 61.6, 1 3 3
5.283, 56.7, 0 1 1
2.642, 55.6, 0 2 2
3.295, 44.0, 0 0 2
2.056, 33.5, 1 3 1
1.505, 32.4, 1 5 1

=====

No. 2
The following is a theoretical powder X-ray diffraction pattern of TmGaNiPd. It was derived from the GGA-PBE geometry in OQMD, using λ = 1.5418 Å (Cu Kα).
Kinematic intensities with the Lorentz-polarization factor, no thermal factor.

Structural model:
Cell lengths 4.2547, 4.2547, 8.8226 Å; angles 90.00, 90.00, 120.00 degrees
Space group P-3m1 (No. 164)
One atom of each set of equivalent atoms:
Tm 0.3333 0.6667 0.2628 [2 per cell]
Ga 0.0000 0.0000 0.0000 [1 per cell]
Ga 0.0000 0.0000 0.5000 [1 per cell]
Ni 0.3333 0.6667 0.5689 [2 per cell]
Pd 0.3333 0.6667 0.9089 [2 per cell]

Principal peaks in the range 15° ≤ 2θ ≤ 90°, in order of falling intensity:
d/Å, Rel. int., (hkl)
2.299, 100.0, 0 1 3
2.127, 82.2, 1 1 0
2.828, 36.5, 1 0 2
1.561, 29.4, 2 0 3
1.259, 28.2, 1 2 3
3.685, 20.4, 1 0 0
3.400, 17.0, 1 0 1
1.228, 13.4, 3 0 0
1.366, 11.5, 1 0 6
1.210, 8.4, 1 1 6

=====

No. 3
The following is a theoretical powder X-ray diffraction pattern of KCdC3N3O3. It was derived from the GGA-PBE geometry in OQMD, using λ = 1.5418 Å (Cu Kα).
Kinematic intensities with the Lorentz-polarization factor, no thermal factor.

Structural model:
Cell lengths 9.939, 3.626, 18.183 Å; angles 90.00, 90.00, 90.00 degrees
Space group Pnma (No. 62)
One atom of each set of equivalent atoms:
K 0.072 0.250 0.164 [4 per cell]
Cd 0.137 0.250 0.545 [4 per cell]
C 0.089 0.250 0.374 [4 per cell]
C 0.133 0.250 0.970 [4 per cell]
C 0.149 0.250 0.714 [4 per cell]
N 0.024 0.250 0.430 [4 per cell]
N 0.218 0.250 0.660 [4 per cell]
N 0.231 0.250 0.008 [4 per cell]
O 0.034 0.250 0.932 [4 per cell]
O 0.082 0.250 0.770 [4 per cell]
O 0.152 0.250 0.318 [4 per cell]

Principal peaks in the range 15° ≤ 2θ ≤ 90°, in order of falling intensity:
d/Å, Rel. int., (hkl)
2.931, 100.0, 2 1 0
2.568, 26.4, 0 1 5
3.349, 17.6, 1 1 1
5.175, 15.6, 1 0 3
3.259, 15.6, 3 0 1
2.154, 13.3, 3 1 4
1.786, 12.4, 4 1 5
2.269, 11.8, 0 0 8
1.736, 10.8, 5 1 1
3.843, 10.7, 2 0 3

=====

No. 4
The following is a theoretical powder X-ray diffraction pattern of Nb3SeBr6Cl. It was derived from the GGA-PBE geometry in OQMD, using λ = 1.5418 Å (Cu Kα).
Kinematic intensities with the Lorentz-polarization factor, no thermal factor.

Structural model:
Cell lengths 7.1602, 7.1602, 6.7801 Å; angles 90.00, 90.00, 120.00 degrees
Space group P3m1 (No. 156)
One atom of each set of equivalent atoms:
Nb 0.1964 0.3928 0.0000 [3 per cell]
Se 0.3333 0.6667 0.2780 [1 per cell]
Br 0.3365 0.1683 0.2142 [3 per cell]
Br 0.5016 0.0031 0.7471 [3 per cell]
Cl 0.0000 0.0000 0.8166 [1 per cell]

Principal peaks in the range 15° ≤ 2θ ≤ 90°, in order of falling intensity:
d/Å, Rel. int., (hkl)
2.820, 100.0, 0 2 1
2.288, 49.8, 0 2 2
1.826, 25.9, 2 0 3
1.790, 24.5, 2 2 0
1.511, 12.7, 4 0 1
4.576, 12.2, 1 0 1
2.215, 11.3, 1 2 1
1.155, 10.4, 2 4 1
1.231, 9.6, 2 2 4
1.928, 8.9, 2 1 2

=====

No. 5
The following is a theoretical powder X-ray diffraction pattern of KFe3Ir. It was derived from the GGA-PBE geometry in OQMD, using λ = 1.5418 Å (Cu Kα).
Kinematic intensities with the Lorentz-polarization factor, no thermal factor.

Structural model:
Cell lengths 6.773, 6.773, 9.604 Å; angles 90.00, 90.00, 90.00 degrees
Space group I4/mcm (No. 140)
One atom of each set of equivalent atoms:
K 0.000 0.500 0.250 [4 per cell]
Fe 0.000 0.000 0.250 [4 per cell]
Fe 0.249 0.251 0.000 [8 per cell]
Ir 0.000 0.000 0.000 [4 per cell]

Principal peaks in the range 15° ≤ 2θ ≤ 90°, in order of falling intensity:
d/Å, Rel. int., (hkl)
4.794, 100.0, 1 1 0
3.390, 59.0, 2 0 0
2.144, 50.6, 3 1 0
1.695, 44.2, 4 0 0
2.395, 44.1, 2 2 0
1.957, 25.7, 3 1 2
2.401, 22.2, 0 0 4
1.599, 15.3, 3 1 4
1.384, 14.5, 4 0 4
1.597, 10.1, 4 0 2

=====

No. 6
The following is a theoretical powder X-ray diffraction pattern of MgMo. It was derived from the GGA-PBE geometry in OQMD, using λ = 1.5418 Å (Cu Kα).
Kinematic intensities with the Lorentz-polarization factor, no thermal factor.

Structural model:
Cell lengths 6.787, 4.630, 4.629 Å; angles 90.00, 90.00, 90.00 degrees
Space group Pbcm (No. 57)
One atom of each set of equivalent atoms:
Mg 0.143 0.001 0.250 [4 per cell]
Mo 0.413 0.501 0.250 [4 per cell]

Principal peaks in the range 15° ≤ 2θ ≤ 90°, in order of falling intensity:
d/Å, Rel. int., (hkl)
2.356, 100.0, 2 1 1
2.315, 57.5, 0 2 0
1.344, 31.8, 2 3 1
2.191, 28.9, 1 2 0
1.861, 28.3, 3 1 1
1.637, 18.9, 0 2 2
1.229, 14.5, 3 3 1
2.948, 14.4, 1 1 1
1.591, 10.2, 1 2 2
1.368, 8.7, 4 2 0

=====

No. 7
The following is a theoretical powder X-ray diffraction pattern of Pr2Ga2O5. It was derived from the GGA-PBE geometry in OQMD, using λ = 1.5418 Å (Cu Kα).
Kinematic intensities with the Lorentz-polarization factor, no thermal factor.

Structural model:
Cell lengths 3.951, 3.951, 9.366 Å; angles 90.00, 90.00, 90.00 degrees
Space group P4/mmm (No. 123)
One atom of each set of equivalent atoms:
Pr 0.000 0.000 0.246 [2 per cell]
Ga 0.500 0.500 0.000 [1 per cell]
Ga 0.500 0.500 0.500 [1 per cell]
O 0.000 0.000 0.500 [1 per cell]
O 0.000 0.500 0.132 [4 per cell]

Principal peaks in the range 15° ≤ 2θ ≤ 90°, in order of falling intensity:
d/Å, Rel. int., (hkl)
3.020, 100.0, 1 0 2
2.794, 34.2, 1 1 0
1.653, 34.0, 2 1 2
1.795, 32.2, 1 1 4
1.976, 22.3, 2 0 0
3.951, 13.9, 1 0 0
1.170, 12.5, 0 0 8
1.102, 12.4, 3 1 4
1.510, 11.0, 2 0 4
1.452, 10.8, 1 0 6

=====

Number 7 is which compound? Pr2Ga2O5